Sm2Y6Mg: computed powder X-ray diffraction pattern (Cu Kα (λ = 1.5418 Å)), based on a GGA-PBE-relaxed structure.
Neutral-atom scattering factors, no anomalous dispersion.

Atomic structure:
Unit cell a=9.933 b=7.153 c=8.562 alpha=90.00 beta=103.69 gamma=90.00
Space group C2/m (No. 12)
Symmetry-distinct sites (fractional):
1 Sm 0.237 0.000 0.476 x4
2 Y 0.041 0.258 0.708 x8
3 Y 0.178 0.500 0.073 x4
4 Mg 0.000 0.000 0.000 x2

Main lines, by angle (10° ≤ 2θ ≤ 80°):
hkl, 2θ (°), intensity
0 0 1, 10.6, 41
2 0 -2, 24.7, 25
2 2 0, 31.1, 83
2 0 2, 31.5, 100
0 2 2, 33.0, 78
2 0 -3, 33.2, 44
4 0 -1, 36.2, 31
0 2 3, 41.2, 19
4 2 -3, 50.8, 27
2 4 2, 61.3, 21


Rb3NaPbO4: computed powder X-ray diffraction pattern (Cu Kα (λ = 1.5418 Å)), based on a GGA-PBE-relaxed structure.
Neutral-atom scattering factors, no anomalous dispersion.

Atomic structure:
Unit cell a=11.191 b=6.794 c=11.256 alpha=90.00 beta=111.61 gamma=90.00
Space group P2_1/c (No. 14)
Symmetry-distinct sites (fractional):
1 Rb 0.037 0.177 0.176 x4
2 Rb 0.321 0.619 0.897 x4
3 Rb 0.451 0.097 0.809 x4
4 Na 0.123 0.623 0.109 x4
5 Pb 0.241 0.139 0.994 x4
6 O 0.107 0.127 0.458 x4
7 O 0.201 0.000 0.815 x4
8 O 0.229 0.575 0.624 x4
9 O 0.428 0.242 0.553 x4

Main lines, by angle (10° ≤ 2θ ≤ 80°):
hkl, 2θ (°), intensity
1 1 0, 15.6, 44
0 0 2, 17.0, 20
2 0 -2, 19.1, 12
1 1 2, 25.4, 17
2 0 2, 28.3, 100
1 2 1, 29.9, 61
1 1 -4, 34.7, 31
4 1 -1, 34.9, 24
2 3 -3, 47.6, 17
3 2 3, 51.1, 14


Sr3N2: computed powder X-ray diffraction pattern (Cu Kα (λ = 1.5418 Å)), based on a GGA-PBE-relaxed structure.
Neutral-atom scattering factors, no anomalous dispersion.

Atomic structure:
Unit cell a=12.339 b=12.339 c=12.339 alpha=90.00 beta=90.00 gamma=90.00
Space group Ia-3 (No. 206)
Symmetry-distinct sites (fractional):
1 Sr 0.111 0.156 0.616 x48
2 N 0.000 0.250 0.456 x24
3 N 0.250 0.250 0.250 x8

Main lines, by angle (10° ≤ 2θ ≤ 80°):
hkl, 2θ (°), intensity
2 1 1, 17.6, 12
3 2 1, 27.0, 86
4 0 0, 28.9, 100
3 3 2, 34.1, 66
4 4 0, 41.4, 85
4 4 4, 51.3, 16
7 2 1, 54.7, 49
7 2 3, 58.9, 38
7 6 1, 70.8, 15
7 6 3, 74.6, 11


Pa2SbAs2N2: computed powder X-ray diffraction pattern (Cu Kα (λ = 1.5418 Å)), based on a GGA-PBE-relaxed structure.
Neutral-atom scattering factors, no anomalous dispersion.

Atomic structure:
Unit cell a=3.7853 b=3.7853 c=12.1653 alpha=90.00 beta=90.00 gamma=120.00
Space group P-3m1 (No. 164)
Symmetry-distinct sites (fractional):
1 Pa 0.3333 0.6667 0.2732 x2
2 Sb 0.0000 0.0000 0.5000 x1
3 As 0.0000 0.0000 0.0936 x2
4 N 0.3333 0.6667 0.7126 x2

Main lines, by angle (10° ≤ 2θ ≤ 80°):
hkl, 2θ (°), intensity
0 0 2, 14.6, 42
0 1 1, 28.2, 94
0 0 4, 29.4, 18
1 0 2, 31.0, 100
0 1 3, 35.2, 72
0 0 5, 36.9, 21
1 0 4, 40.5, 20
1 1 0, 48.1, 47
0 1 7, 60.3, 18
1 1 5, 62.1, 27


Sm2Zn2SbRh5: computed powder X-ray diffraction pattern (Cu Kα (λ = 1.5418 Å)), based on a GGA-PBE-relaxed structure.
Neutral-atom scattering factors, no anomalous dispersion.

Atomic structure:
Unit cell a=9.785 b=9.785 c=3.671 alpha=90.00 beta=90.00 gamma=90.00
Space group P4/mbm (No. 127)
Symmetry-distinct sites (fractional):
1 Sm 0.174 0.326 0.000 x4
2 Zn 0.123 0.623 0.000 x4
3 Sb 0.000 0.000 0.000 x2
4 Rh 0.000 0.500 0.500 x2
5 Rh 0.066 0.794 0.500 x8

Main lines, by angle (10° ≤ 2θ ≤ 80°):
hkl, 2θ (°), intensity
2 1 1, 31.8, 26
2 2 1, 35.7, 25
4 1 0, 37.9, 46
3 1 1, 38.0, 100
3 3 0, 39.1, 15
4 2 0, 41.3, 17
3 2 1, 41.4, 31
0 0 2, 49.7, 22
4 1 2, 64.1, 20
5 4 1, 66.2, 11


SmEr2Si2: computed powder X-ray diffraction pattern (Cu Kα (λ = 1.5418 Å)), based on a GGA-PBE-relaxed structure.
Neutral-atom scattering factors, no anomalous dispersion.

Atomic structure:
Unit cell a=5.597 b=4.079 c=11.263 alpha=90.00 beta=95.52 gamma=90.00
Space group P2_1/m (No. 11)
Symmetry-distinct sites (fractional):
1 Sm 0.098 0.250 0.280 x2
2 Er 0.249 0.250 0.946 x2
3 Er 0.404 0.250 0.628 x2
4 Si 0.125 0.750 0.479 x2
5 Si 0.265 0.750 0.124 x2

Main lines, by angle (10° ≤ 2θ ≤ 80°):
hkl, 2θ (°), intensity
0 0 3, 23.8, 39
1 1 0, 27.1, 84
1 0 -3, 27.4, 41
1 1 1, 28.7, 70
0 1 3, 32.5, 100
2 0 1, 33.9, 61
2 0 -2, 34.5, 41
1 1 -3, 35.3, 33
2 1 -2, 41.2, 32
0 2 0, 44.4, 37


Please write out number 3 again, unchanged.
Sr3N2: computed powder X-ray diffraction pattern (Cu Kα (λ = 1.5418 Å)), based on a GGA-PBE-relaxed structure.
Neutral-atom scattering factors, no anomalous dispersion.

Atomic structure:
Unit cell a=12.339 b=12.339 c=12.339 alpha=90.00 beta=90.00 gamma=90.00
Space group Ia-3 (No. 206)
Symmetry-distinct sites (fractional):
1 Sr 0.111 0.156 0.616 x48
2 N 0.000 0.250 0.456 x24
3 N 0.250 0.250 0.250 x8

Main lines, by angle (10° ≤ 2θ ≤ 80°):
hkl, 2θ (°), intensity
2 1 1, 17.6, 12
3 2 1, 27.0, 86
4 0 0, 28.9, 100
3 3 2, 34.1, 66
4 4 0, 41.4, 85
4 4 4, 51.3, 16
7 2 1, 54.7, 49
7 2 3, 58.9, 38
7 6 1, 70.8, 15
7 6 3, 74.6, 11